The following is a calculated XRD peak list of NaHg4H. It was derived from a DFT-relaxed cell (GGA-PBE, Alexandria), using Cu Kα (λ = 1.5418 Å).
Lines closer than 0.1° are merged.

Structural model:
```
12
Lattice="3.1887 0.0000 0.0000 -0.0226 6.2220 0.0000 -0.7141 -0.0402 13.7434" Properties=species:S:1:pos:R:3 pbc="T T T"
Na 0.0000 0.0000 0.0000
Na -0.0113 3.1110 0.0000
Hg 0.3411 0.6061 5.5323
Hg 0.3508 3.7170 5.5332
Hg 0.8331 4.6105 11.0141
Hg 0.8567 1.5002 11.0165
Hg 1.5954 4.6816 2.7269
Hg 1.6190 1.5712 2.7293
Hg 2.1013 2.4648 8.2102
Hg 2.1109 5.5757 8.2111
H 0.8741 1.5151 13.7174
H 1.5780 4.6667 0.0260
```

Largest 8 diffraction maxima, sorted by position, 10° ≤ 2θ ≤ 90°:
- 2θ 12.9, I = 16
- 2θ 29.5, I = 16
- 2θ 31.6, I = 100
- 2θ 32.6, I = 52
- 2θ 33.4, I = 47
- 2θ 34.8, I = 37
- 2θ 40.5, I = 28
- 2θ 40.9, I = 19